# 1
Computed powder X-ray diffraction pattern of Zn5Cu for Cu Kα, 1.54184 Å, from a DFT-relaxed cell (PBE, Alexandria).

Largest 10 diffraction maxima, in order of rising 2θ, 2θ from 10° to 90°:
2θ/deg	I (rel.)
37.38	24
37.94	13
42.28	35
43.15	100
43.64	47
57.69	13
68.16	16
77.92	15
82.55	9
83.54	30

Cell: 12.825 2.791 4.743 Å, 90.00 90.00 90.00°
Fractional coordinates of all 12 atoms:
Zn: 0.084 0.000 0.165
Zn: 0.087 0.500 0.670
Zn: 0.250 0.500 0.329
Zn: 0.413 0.500 0.670
Zn: 0.416 0.000 0.165
Zn: 0.584 0.000 0.835
Zn: 0.587 0.500 0.330
Zn: 0.750 0.500 0.671
Zn: 0.913 0.500 0.330
Zn: 0.916 0.000 0.835
Cu: 0.250 0.000 0.832
Cu: 0.750 0.000 0.168


# 2
Computed powder X-ray diffraction pattern of Tm2Mn17C3 for Cu Kα, 1.54184 Å, from a DFT-relaxed cell (PBE, Alexandria).

Largest 10 diffraction maxima, in order of rising 2θ, 2θ from 10° to 90°:
2θ/deg	I (rel.)
30.15	58
34.06	24
36.70	40
40.88	47
42.64	81
42.90	100
43.69	37
46.37	23
62.09	30
62.70	23

Cell: 8.482 8.482 8.287 Å, 90.00 90.00 120.00°
Fractional coordinates of all 44 atoms:
Tm: 0.000 0.000 0.250
Tm: 0.000 0.000 0.750
Tm: 0.333 0.667 0.250
Tm: 0.667 0.333 0.750
Mn: 0.000 0.500 0.000
Mn: 0.000 0.500 0.500
Mn: 0.060 0.388 0.750
Mn: 0.060 0.672 0.750
Mn: 0.167 0.335 0.025
Mn: 0.167 0.335 0.475
Mn: 0.167 0.833 0.025
Mn: 0.167 0.833 0.475
Mn: 0.328 0.388 0.750
Mn: 0.328 0.940 0.750
Mn: 0.333 0.667 0.606
Mn: 0.333 0.667 0.894
Mn: 0.335 0.167 0.525
Mn: 0.335 0.167 0.975
Mn: 0.388 0.060 0.250
Mn: 0.388 0.328 0.250
Mn: 0.500 0.000 0.000
Mn: 0.500 0.000 0.500
Mn: 0.500 0.500 0.000
Mn: 0.500 0.500 0.500
Mn: 0.612 0.672 0.750
Mn: 0.612 0.940 0.750
Mn: 0.665 0.833 0.025
Mn: 0.665 0.833 0.475
Mn: 0.667 0.333 0.106
Mn: 0.667 0.333 0.394
Mn: 0.672 0.060 0.250
Mn: 0.672 0.612 0.250
Mn: 0.833 0.167 0.525
Mn: 0.833 0.167 0.975
Mn: 0.833 0.665 0.525
Mn: 0.833 0.665 0.975
Mn: 0.940 0.328 0.250
Mn: 0.940 0.612 0.250
C: 0.165 0.331 0.250
C: 0.165 0.835 0.250
C: 0.331 0.165 0.750
C: 0.669 0.835 0.250
C: 0.835 0.165 0.750
C: 0.835 0.669 0.750


# 3
Computed powder X-ray diffraction pattern of Cs6HgI for Cu Kα, 1.54184 Å, from a DFT-relaxed cell (PBE, Alexandria).

Largest 10 diffraction maxima, in order of rising 2θ, 2θ from 10° to 90°:
2θ/deg	I (rel.)
10.79	48
21.18	100
22.45	20
27.27	59
32.76	44
35.29	27
39.34	20
43.13	17
52.10	17
52.52	23

Cell: 9.470 9.470 9.045 Å, 90.04 90.04 120.00°
Fractional coordinates of all 8 atoms:
Cs: 0.164 0.164 0.250
Cs: 0.164 0.500 0.749
Cs: 0.500 0.164 0.749
Cs: 0.500 0.836 0.251
Cs: 0.836 0.500 0.251
Cs: 0.836 0.836 0.750
Hg: 0.500 0.500 0.000
I: 0.500 0.500 0.500


# 4
Computed powder X-ray diffraction pattern of DyAl2O4 for Cu Kα, 1.54184 Å, from a DFT-relaxed cell (PBE, Alexandria).

Largest 10 diffraction maxima, in order of rising 2θ, 2θ from 10° to 90°:
2θ/deg	I (rel.)
18.59	100
24.28	93
29.36	71
32.08	98
32.68	77
33.95	31
39.56	38
47.40	48
49.75	41
52.66	33

Cell: 6.406 5.790 7.402 Å, 56.53 48.94 74.54°
Fractional coordinates of all 14 atoms:
Dy: 0.000 0.000 0.000
Dy: 0.250 0.250 0.250
Al: 0.020 0.626 0.609
Al: 0.505 0.641 0.624
Al: 0.626 0.020 0.745
Al: 0.641 0.505 0.230
O: 0.258 0.382 0.489
O: 0.280 0.816 0.531
O: 0.379 0.761 0.868
O: 0.382 0.258 0.871
O: 0.719 0.878 0.970
O: 0.761 0.379 0.992
O: 0.816 0.280 0.372
O: 0.878 0.719 0.434


# 5
Computed powder X-ray diffraction pattern of Ca3Ac13 for Cu Kα, 1.54184 Å, from a DFT-relaxed cell (PBE, Alexandria).

Largest 10 diffraction maxima, in order of rising 2θ, 2θ from 10° to 90°:
2θ/deg	I (rel.)
25.68	25
27.74	25
29.25	100
38.15	18
45.31	14
49.99	16
50.03	8
53.92	25
54.77	12
73.79	10

Cell: 8.024 9.455 9.455 Å, 85.75 90.00 90.00°
Fractional coordinates of all 16 atoms:
Ca: 0.000 0.000 0.000
Ca: 0.249 0.247 0.247
Ca: 0.751 0.247 0.247
Ac: 0.000 0.081 0.581
Ac: 0.000 0.503 0.503
Ac: 0.000 0.581 0.081
Ac: 0.250 0.331 0.829
Ac: 0.250 0.829 0.331
Ac: 0.254 0.747 0.747
Ac: 0.500 0.079 0.584
Ac: 0.500 0.498 0.498
Ac: 0.500 0.584 0.079
Ac: 0.500 0.997 0.997
Ac: 0.746 0.747 0.747
Ac: 0.750 0.331 0.829
Ac: 0.750 0.829 0.331


# 6
Computed powder X-ray diffraction pattern of Tb14NdCd for Cu Kα, 1.54184 Å, from a DFT-relaxed cell (PBE, Alexandria).

Largest 10 diffraction maxima, in order of rising 2θ, 2θ from 10° to 90°:
2θ/deg	I (rel.)
30.95	100
35.71	17
35.99	33
51.60	24
51.81	12
61.21	14
61.58	28
64.51	12
84.27	12
84.60	6

Cell: 7.059 7.059 10.058 Å, 90.00 90.00 90.00°
Fractional coordinates of all 16 atoms:
Tb: 0.000 0.000 0.000
Tb: 0.000 0.500 0.000
Tb: 0.000 0.500 0.500
Tb: 0.250 0.250 0.251
Tb: 0.250 0.250 0.749
Tb: 0.250 0.750 0.251
Tb: 0.250 0.750 0.749
Tb: 0.500 0.000 0.000
Tb: 0.500 0.000 0.500
Tb: 0.500 0.500 0.000
Tb: 0.750 0.250 0.251
Tb: 0.750 0.250 0.749
Tb: 0.750 0.750 0.251
Tb: 0.750 0.750 0.749
Nd: 0.000 0.000 0.500
Cd: 0.500 0.500 0.500


# 7
Computed powder X-ray diffraction pattern of CsThClO2 for Cu Kα, 1.54184 Å, from a DFT-relaxed cell (PBE, Alexandria).

Largest 10 diffraction maxima, in order of rising 2θ, 2θ from 10° to 90°:
2θ/deg	I (rel.)
11.96	29
23.79	100
24.05	17
29.14	39
31.80	38
38.13	19
41.68	21
47.30	18
48.55	30
53.36	18

Cell: 4.334 4.334 7.401 Å, 90.00 90.00 90.00°
Fractional coordinates of all 5 atoms:
Cs: 0.000 0.000 0.000
Th: 0.500 0.500 0.379
Cl: 0.500 0.500 0.763
O: 0.000 0.500 0.300
O: 0.500 0.000 0.300


# 8
Computed powder X-ray diffraction pattern of Fe3N2 for Cu Kα, 1.54184 Å, from a DFT-relaxed cell (PBE, Alexandria).

Largest 10 diffraction maxima, in order of rising 2θ, 2θ from 10° to 90°:
2θ/deg	I (rel.)
25.33	4
37.66	12
40.53	21
42.98	100
56.52	21
67.98	18
75.42	16
82.25	13
83.88	11
87.70	3

Cell: 5.236 5.236 5.236 Å, 54.27 54.27 54.27°
Fractional coordinates of all 10 atoms:
Fe: 0.068 0.750 0.432
Fe: 0.250 0.568 0.932
Fe: 0.432 0.068 0.750
Fe: 0.568 0.932 0.250
Fe: 0.750 0.432 0.068
Fe: 0.932 0.250 0.568
N: 0.153 0.153 0.153
N: 0.347 0.347 0.347
N: 0.653 0.653 0.653
N: 0.847 0.847 0.847


# 9
Computed powder X-ray diffraction pattern of Cs2AcSnS4 for Cu Kα, 1.54184 Å, from a DFT-relaxed cell (PBE, Alexandria).

Largest 10 diffraction maxima, in order of rising 2θ, 2θ from 10° to 90°:
2θ/deg	I (rel.)
22.42	36
23.47	100
31.91	27
40.00	48
41.88	28
48.01	11
51.53	11
62.37	13
63.76	13
66.03	11

Cell: 7.608 7.608 7.608 Å, 117.17 117.17 94.98°
Fractional coordinates of all 8 atoms:
Cs: 0.000 0.000 0.000
Cs: 0.750 0.250 0.500
Ac: 0.250 0.750 0.500
Sn: 0.500 0.500 0.000
S: 0.214 0.618 0.065
S: 0.382 0.447 0.596
S: 0.553 0.149 0.935
S: 0.851 0.786 0.404


# 10
Computed powder X-ray diffraction pattern of CdS5Cl for Cu Kα, 1.54184 Å, from a DFT-relaxed cell (PBE, Alexandria).

Largest 10 diffraction maxima, in order of rising 2θ, 2θ from 10° to 90°:
2θ/deg	I (rel.)
15.71	65
19.39	29
22.39	100
23.27	38
27.47	18
27.74	28
30.39	32
33.78	16
39.36	41
48.61	18

Cell: 11.565 11.565 4.287 Å, 95.17 95.17 154.43°
Fractional coordinates of all 7 atoms:
Cd: 0.000 0.000 0.000
S: 0.145 0.539 0.256
S: 0.246 0.754 0.000
S: 0.461 0.855 0.744
S: 0.469 0.302 0.246
S: 0.698 0.531 0.754
Cl: 0.939 0.061 0.500


# 11
Computed powder X-ray diffraction pattern of SnPRu for Cu Kα, 1.54184 Å, from a DFT-relaxed cell (PBE, Alexandria).

Largest 10 diffraction maxima, in order of rising 2θ, 2θ from 10° to 90°:
2θ/deg	I (rel.)
22.71	100
25.34	62
28.71	47
31.28	56
33.96	54
36.27	63
37.39	63
40.79	41
42.04	88
43.50	97

Cell: 6.823 5.280 7.077 Å, 90.00 114.30 90.00°
Fractional coordinates of all 12 atoms:
Sn: 0.146 0.078 0.380
Sn: 0.146 0.422 0.880
Sn: 0.854 0.578 0.120
Sn: 0.854 0.922 0.620
P: 0.377 0.645 0.648
P: 0.377 0.855 0.148
P: 0.623 0.145 0.852
P: 0.623 0.355 0.352
Ru: 0.300 0.534 0.315
Ru: 0.300 0.966 0.815
Ru: 0.700 0.034 0.185
Ru: 0.700 0.466 0.685


# 12
Computed powder X-ray diffraction pattern of Tb12PrY7 for Cu Kα, 1.54184 Å, from a DFT-relaxed cell (PBE, Alexandria).

Largest 10 diffraction maxima, in order of rising 2θ, 2θ from 10° to 90°:
2θ/deg	I (rel.)
28.86	49
31.31	100
31.89	73
34.16	42
48.70	24
55.33	20
56.47	29
57.94	21
66.69	14
84.28	17

Cell: 8.784 8.784 8.784 Å, 98.25 98.25 98.25°
Fractional coordinates of all 20 atoms:
Tb: 0.000 0.261 0.739
Tb: 0.000 0.739 0.261
Tb: 0.140 0.140 0.411
Tb: 0.140 0.411 0.140
Tb: 0.261 0.000 0.739
Tb: 0.261 0.739 0.000
Tb: 0.411 0.140 0.140
Tb: 0.589 0.860 0.860
Tb: 0.739 0.000 0.261
Tb: 0.739 0.261 0.000
Tb: 0.860 0.589 0.860
Tb: 0.860 0.860 0.589
Pr: 0.500 0.500 0.500
Y: 0.000 0.000 0.000
Y: 0.158 0.604 0.604
Y: 0.396 0.396 0.842
Y: 0.396 0.842 0.396
Y: 0.604 0.158 0.604
Y: 0.604 0.604 0.158
Y: 0.842 0.396 0.396